Record 1
Diffraction record for Hf4Bi2AsC. The powder X-ray diffraction pattern is simulated, not measured: it uses a cell relaxed with PBE and Cu Kα (weighted mean of Kα1 and Kα2).
Lines closer than 0.1° are merged.

Peak list (10 most intense, 2θ = 10–80°, in order of falling intensity)
34.2 deg, intensity 100
50.3 deg, intensity 29
28.4 deg, intensity 20
62.2 deg, intensity 18
47.8 deg, intensity 14
64.5 deg, intensity 13
37.6 deg, intensity 10
38.1 deg, intensity 8
72.5 deg, intensity 7
69.2 deg, intensity 7

Cell and atoms:
```
data_Hf4Bi2AsC
_chemical_formula_sum 'Hf4 Bi2 As1 C1'
_symmetry_space_group_name_H-M 'P -3 m 1'
_symmetry_Int_Tables_number 164
_symmetry_space_group_name_Hall '-P 3 2"'
_cell_length_a 3.6254
_cell_length_b 3.6254
_cell_length_c 14.3384
_cell_angle_alpha 90.00
_cell_angle_beta 90.00
_cell_angle_gamma 120.00
loop_
_atom_site_label
_atom_site_fract_x
_atom_site_fract_y
_atom_site_fract_z
_atom_site_occupancy
Hf1 0.3333 0.6667 0.1096 1
Hf2 0.3333 0.6667 0.4215 1
Bi1 0.3333 0.6667 0.7378 1
As1 0.0000 0.0000 0.0000 1
C1 0.0000 0.0000 0.5000 1
```

Record 2
Diffraction record for NdYAg2Sn2. The powder X-ray diffraction pattern is simulated, not measured: it uses a cell relaxed with PBE and Cu Kα (weighted mean of Kα1 and Kα2).
Lines closer than 0.1° are merged.

Peak list (10 most intense, 2θ = 10–80°, in order of falling intensity)
32.3 deg, intensity 100
37.8 deg, intensity 85
50.5 deg, intensity 28
64.8 deg, intensity 27
42.4 deg, intensity 21
63.2 deg, intensity 16
24.6 deg, intensity 16
68.2 deg, intensity 15
66.5 deg, intensity 10
71.3 deg, intensity 9

Cell and atoms:
```
data_NdYAg2Sn2
_chemical_formula_sum 'Nd1 Y1 Ag2 Sn2'
_symmetry_space_group_name_H-M 'P 3 m 1'
_symmetry_Int_Tables_number 156
_symmetry_space_group_name_Hall 'P 3 -2"'
_cell_length_a 4.7657
_cell_length_b 4.7657
_cell_length_c 7.4755
_cell_angle_alpha 90.00
_cell_angle_beta 90.00
_cell_angle_gamma 120.00
loop_
_atom_site_label
_atom_site_fract_x
_atom_site_fract_y
_atom_site_fract_z
_atom_site_occupancy
Nd1 0.0000 0.0000 0.0000 1
Y1 0.0000 0.0000 0.5013 1
Ag1 0.3333 0.6667 0.6888 1
Ag2 0.6667 0.3333 0.2031 1
Sn1 0.3333 0.6667 0.2844 1
Sn2 0.6667 0.3333 0.7747 1
```

Record 3
Diffraction record for Ta5NbSn2. The powder X-ray diffraction pattern is simulated, not measured: it uses a cell relaxed with PBE and Cu Kα (weighted mean of Kα1 and Kα2).
Lines closer than 0.1° are merged.

Peak list (10 most intense, 2θ = 10–80°, in order of falling intensity)
37.8 deg, intensity 100
41.6 deg, intensity 63
38.0 deg, intensity 44
41.7 deg, intensity 22
33.6 deg, intensity 20
33.9 deg, intensity 17
65.9 deg, intensity 17
65.6 deg, intensity 16
60.3 deg, intensity 16
70.7 deg, intensity 14

Cell and atoms:
```
data_Ta5NbSn2
_chemical_formula_sum 'Ta5 Nb1 Sn2'
_symmetry_space_group_name_H-M 'P -4 m 2'
_symmetry_Int_Tables_number 115
_symmetry_space_group_name_Hall 'P -4 -2'
_cell_length_a 5.330
_cell_length_b 5.330
_cell_length_c 5.290
_cell_angle_alpha 90.00
_cell_angle_beta 90.00
_cell_angle_gamma 90.00
loop_
_atom_site_label
_atom_site_fract_x
_atom_site_fract_y
_atom_site_fract_z
_atom_site_occupancy
Ta1 0.000 0.000 0.000 1
Ta2 0.252 0.500 0.751 1
Nb1 0.000 0.000 0.500 1
Sn1 0.000 0.500 0.251 1
```

Record 4
Diffraction record for GdHg3. The powder X-ray diffraction pattern is simulated, not measured: it uses a cell relaxed with PBE and Cu Kα (weighted mean of Kα1 and Kα2).
Lines closer than 0.1° are merged.

Peak list (10 most intense, 2θ = 10–80°, in order of falling intensity)
36.1 deg, intensity 100
35.9 deg, intensity 40
68.0 deg, intensity 21
31.2 deg, intensity 20
67.6 deg, intensity 17
55.1 deg, intensity 15
64.8 deg, intensity 14
48.4 deg, intensity 12
30.9 deg, intensity 8
55.6 deg, intensity 7

Cell and atoms:
```
data_GdHg3
_chemical_formula_sum 'Gd4 Hg12'
_symmetry_space_group_name_H-M 'A m m 2'
_symmetry_Int_Tables_number 38
_symmetry_space_group_name_Hall 'A 2 -2'
_cell_length_a 4.986
_cell_length_b 6.610
_cell_length_c 11.571
_cell_angle_alpha 90.00
_cell_angle_beta 90.00
_cell_angle_gamma 90.00
loop_
_atom_site_label
_atom_site_fract_x
_atom_site_fract_y
_atom_site_fract_z
_atom_site_occupancy
Gd1 0.000 0.000 0.000 1
Gd2 0.500 0.000 0.336 1
Hg1 0.000 0.000 0.502 1
Hg2 0.000 0.250 0.250 1
Hg3 0.500 0.000 0.836 1
Hg4 0.500 0.249 0.587 1
```

Record 5
Diffraction record for Ag2HgI2Br2. The powder X-ray diffraction pattern is simulated, not measured: it uses a cell relaxed with PBE and Cu Kα (weighted mean of Kα1 and Kα2).
Lines closer than 0.1° are merged.

Peak list (10 most intense, 2θ = 10–80°, in order of falling intensity)
24.3 deg, intensity 100
24.9 deg, intensity 87
40.8 deg, intensity 70
41.2 deg, intensity 45
20.1 deg, intensity 33
47.7 deg, intensity 29
39.5 deg, intensity 27
46.8 deg, intensity 18
35.4 deg, intensity 15
49.2 deg, intensity 14

Cell and atoms:
```
data_Ag2HgI2Br2
_chemical_formula_sum 'Ag2 Hg1 I2 Br2'
_symmetry_space_group_name_H-M 'P 1 2 1'
_symmetry_Int_Tables_number 3
_symmetry_space_group_name_Hall 'P 2y'
_cell_length_a 6.279
_cell_length_b 6.115
_cell_length_c 6.431
_cell_angle_alpha 90.00
_cell_angle_beta 91.80
_cell_angle_gamma 90.00
loop_
_atom_site_label
_atom_site_fract_x
_atom_site_fract_y
_atom_site_fract_z
_atom_site_occupancy
Ag1 0.000 0.000 0.000 1
Ag2 0.500 0.489 0.000 1
Hg1 0.500 0.987 0.500 1
I1 0.224 0.724 0.731 1
Br1 0.248 0.255 0.260 1
```

Record 6
Diffraction record for Li2NbPd. The powder X-ray diffraction pattern is simulated, not measured: it uses a cell relaxed with PBE and Cu Kα (weighted mean of Kα1 and Kα2).
Lines closer than 0.1° are merged.

Peak list (6 most intense, 2θ = 10–80°, in order of falling intensity)
24.9 deg, intensity 100
41.2 deg, intensity 93
48.8 deg, intensity 47
75.1 deg, intensity 30
65.7 deg, intensity 19
59.7 deg, intensity 15

Cell and atoms:
```
data_Li2NbPd
_chemical_formula_sum 'Li8 Nb4 Pd4'
_symmetry_space_group_name_H-M 'F -4 3 m'
_symmetry_Int_Tables_number 216
_symmetry_space_group_name_Hall 'F -4 2 3'
_cell_length_a 6.194
_cell_length_b 6.194
_cell_length_c 6.194
_cell_angle_alpha 90.00
_cell_angle_beta 90.00
_cell_angle_gamma 90.00
loop_
_atom_site_label
_atom_site_fract_x
_atom_site_fract_y
_atom_site_fract_z
_atom_site_occupancy
Li1 0.000 0.000 0.000 1
Li2 0.250 0.250 0.250 1
Nb1 0.000 0.000 0.500 1
Pd1 0.250 0.250 0.750 1
```